For Y4Tm3Sc, a cell relaxed with PBE gives the computed powder diffractogram in this record (Cu Kα (λ = 1.5418 Å)).

Most intense lines, 10 to 80 degrees two-theta, most intense first:
| 2theta | I/Imax | (hkl) |
| --- | --- | --- |
| 31.26 | 100.0 | 2 0 2 |
| 36.26 | 50.1 | 5 1 1 |
| 62.12 | 40.6 | 2 2 2 |
| 52.21 | 34.7 | 0 2 0 |
| 65.22 | 11.6 | 4 0 4 |
| 14.65 | 9.1 | 0 0 1 |
| 17.17 | 6.8 | 2 0 1 |
| 76.97 | 5.4 | 10 2 2 |
| 28.01 | 4.0 | 3 1 0 |
| 32.17 | 3.2 | 5 1 0 |
| 15.50 | 2.3 | 4 0 0 |
| 26.53 | 2.2 | 6 0 -1 |

Atomic structure:
Unit cell a=22.9588 b=3.5056 c=6.0711 alpha=90.00 beta=95.02 gamma=90.00
Space group C2/m (No. 12)
Symmetry-distinct sites (fractional):
Y 0.1213 0.0000 0.3759 x4
Y 0.2493 0.0000 0.7504 x4
Tm 0.0000 0.0000 0.0000 x2
Tm 0.1225 0.5000 0.8741 x4
Sc 0.0000 0.5000 0.5000 x2